(1)
Starting from DFT lattice parameters and positions (PBE+U), the powder diffractogram of Li3V3P4O16 was computed for copper Kα.

Largest 10 diffraction maxima, in order of rising 2θ, 2θ = 5–70°:
hkl  2θ/deg  I/Imax
0 1 0  10.72  34
0 0 1  11.51  100
1 0 1  20.63  35
0 0 2  23.13  43
2 0 0  24.58  47
1 2 -1  24.69  53
-2 1 2  26.17  47
2 -2 0  26.30  44
1 2 -3  32.11  43
2 2 -2  32.37  60

```
data_Li3V3P4O16
_chemical_formula_sum 'Li6 V6 P8 O32'
_symmetry_space_group_name_H-M 'P -1'
_symmetry_Int_Tables_number 2
_cell_length_a 8.564
_cell_length_b 9.112
_cell_length_c 9.165
_cell_angle_alpha 104.19
_cell_angle_beta 115.04
_cell_angle_gamma 102.13
loop_
_symmetry_equiv_pos_as_xyz
'x,y,z'
'-x,-y,-z'
loop_
_atom_site_label
_atom_site_type_symbol
_atom_site_fract_x
_atom_site_fract_y
_atom_site_fract_z
_atom_site_occupancy
Li1 Li 0.090 0.307 0.121 1
Li2 Li 0.298 0.535 0.990 1
Li3 Li 0.309 0.163 0.051 1
V1 V 0.143 0.187 0.618 1
V2 V 0.211 0.738 0.778 1
V3 V 0.498 0.196 0.498 1
P1 P 0.055 0.028 0.228 1
P2 P 0.063 0.630 0.331 1
P3 P 0.452 0.529 0.696 1
P4 P 0.482 0.075 0.806 1
O1 O 0.011 0.445 0.262 1
O2 O 0.044 0.126 0.929 1
O3 O 0.052 0.855 0.804 1
O4 O 0.064 0.003 0.398 1
O5 O 0.073 0.707 0.510 1
O6 O 0.105 0.334 0.791 1
O7 O 0.235 0.710 0.323 1
O8 O 0.258 0.112 0.278 1
O9 O 0.323 0.137 0.803 1
O10 O 0.333 0.791 0.048 1
O11 O 0.340 0.580 0.785 1
O12 O 0.347 0.417 0.159 1
O13 O 0.367 0.337 0.610 1
O14 O 0.429 0.610 0.564 1
O15 O 0.451 0.911 0.830 1
O16 O 0.469 0.039 0.624 1
```

***

(2)
Starting from DFT lattice parameters and positions (PBE+U), the powder diffractogram of Li2VPO5 was computed for copper Kα.

Largest 10 diffraction maxima, in order of rising 2θ, 2θ = 5–70°:
hkl  2θ/deg  I/Imax
2 0 0  21.53  37
2 0 1  25.40  43
0 2 0  26.83  100
2 2 0  34.65  50
0 2 2  38.30  13
0 3 1  43.03  14
4 1 0  46.04  23
2 0 3  46.52  27
4 2 1  54.09  12
4 3 0  61.39  12

```
data_Li2VPO5
_chemical_formula_sum 'Li8 V4 P4 O20'
_symmetry_space_group_name_H-M 'P n a 21'
_symmetry_Int_Tables_number 33
_cell_length_a 8.256
_cell_length_b 6.638
_cell_length_c 6.655
_cell_angle_alpha 90.00
_cell_angle_beta 90.00
_cell_angle_gamma 90.00
loop_
_symmetry_equiv_pos_as_xyz
'x,y,z'
'-x,-y,z+1/2'
'-x+1/2,y+1/2,z+1/2'
'x+1/2,-y+1/2,z'
loop_
_atom_site_label
_atom_site_type_symbol
_atom_site_fract_x
_atom_site_fract_y
_atom_site_fract_z
_atom_site_occupancy
Li1 Li 0.014 0.018 0.000 1
Li2 Li 0.018 0.481 0.999 1
V1 V 0.188 0.751 0.270 1
P1 P 0.250 0.251 0.269 1
O1 O 0.082 0.251 0.788 1
O2 O 0.142 0.060 0.268 1
O3 O 0.142 0.442 0.267 1
O4 O 0.142 0.752 0.580 1
O5 O 0.144 0.751 0.961 1
```

***

What did the second record say?
Starting from DFT lattice parameters and positions (PBE+U), the powder diffractogram of Li2VPO5 was computed for copper Kα.

Largest 10 diffraction maxima, in order of rising 2θ, 2θ = 5–70°:
hkl  2θ/deg  I/Imax
2 0 0  21.53  37
2 0 1  25.40  43
0 2 0  26.83  100
2 2 0  34.65  50
0 2 2  38.30  13
0 3 1  43.03  14
4 1 0  46.04  23
2 0 3  46.52  27
4 2 1  54.09  12
4 3 0  61.39  12

```
data_Li2VPO5
_chemical_formula_sum 'Li8 V4 P4 O20'
_symmetry_space_group_name_H-M 'P n a 21'
_symmetry_Int_Tables_number 33
_cell_length_a 8.256
_cell_length_b 6.638
_cell_length_c 6.655
_cell_angle_alpha 90.00
_cell_angle_beta 90.00
_cell_angle_gamma 90.00
loop_
_symmetry_equiv_pos_as_xyz
'x,y,z'
'-x,-y,z+1/2'
'-x+1/2,y+1/2,z+1/2'
'x+1/2,-y+1/2,z'
loop_
_atom_site_label
_atom_site_type_symbol
_atom_site_fract_x
_atom_site_fract_y
_atom_site_fract_z
_atom_site_occupancy
Li1 Li 0.014 0.018 0.000 1
Li2 Li 0.018 0.481 0.999 1
V1 V 0.188 0.751 0.270 1
P1 P 0.250 0.251 0.269 1
O1 O 0.082 0.251 0.788 1
O2 O 0.142 0.060 0.268 1
O3 O 0.142 0.442 0.267 1
O4 O 0.142 0.752 0.580 1
O5 O 0.144 0.751 0.961 1
```